Record 1
The following is a calculated X-ray diffraction stick pattern of BaZnAg. It was derived from DFT lattice parameters and positions (PBE), using λ = 1.5418 Å (Cu Kα).
Intensities are scaled so that the largest is 100.

Principal peaks in the range 2θ = 15–90°, sorted by position:
2θ (°)  I/Imax  h k l
29.31  100  0 0 2
37.51  17  0 2 0
37.66  33  3 1 -3
40.08  14  4 0 0
48.32  17  0 2 2
56.10  20  4 2 0
56.17  10  7 1 -3
62.70  7  3 3 -1
62.90  10  3 1 -5
66.27  9  4 0 2

Crystal structure
Lattice parameters (Å, degrees): 12.216 4.795 8.265 90.00 132.55 90.00
Space group C2/m (No. 12)
One atom of each set of equivalent atoms:
1 Ba 0.246 0.000 0.246
2 Zn 0.001 0.000 0.338
3 Ag 0.001 0.500 0.177

Record 2
The following is a calculated X-ray diffraction stick pattern of BaZn2Ag6. It was derived from DFT lattice parameters and positions (PBE), using λ = 1.5418 Å (Cu Kα).
Intensities are scaled so that the largest is 100.

Principal peaks in the range 2θ = 15–90°, sorted by position:
2θ (°)  I/Imax  h k l
28.25  15  1 0 2
34.01  100  1 1 2
37.16  15  1 0 3
37.61  87  2 0 0
41.84  59  1 1 3
53.90  10  2 1 3
54.24  29  2 2 0
65.58  28  3 1 2
70.77  22  3 1 3
79.18  13  2 0 6

Crystal structure
Lattice parameters (Å, degrees): 4.784 4.784 8.413 90.00 90.00 90.00
Space group P4/mmm (No. 123)
One atom of each set of equivalent atoms:
1 Ba 0.000 0.000 0.000
2 Zn 0.500 0.500 0.157
3 Ag 0.000 0.000 0.500
4 Ag 0.000 0.500 0.311
5 Ag 0.500 0.500 0.500

Record 3
The following is a calculated X-ray diffraction stick pattern of BaZn3Ag2. It was derived from DFT lattice parameters and positions (PBE), using λ = 1.5418 Å (Cu Kα).
Intensities are scaled so that the largest is 100.

Principal peaks in the range 2θ = 15–90°, sorted by position:
2θ (°)  I/Imax  h k l
25.69  45  4 0 -2
26.37  54  3 1 0
30.17  61  1 1 -2
31.64  71  2 0 2
32.30  47  3 1 1
35.36  100  6 0 0
39.79  71  0 2 0
41.53  45  5 1 -3
43.14  23  7 1 -2
51.70  34  2 2 2

Crystal structure
Lattice parameters (Å, degrees): 16.857 4.531 8.006 90.00 115.46 90.00
Space group C2/m (No. 12)
One atom of each set of equivalent atoms:
1 Ba 0.152 0.000 0.083
2 Zn 0.010 0.000 0.352
3 Zn 0.088 0.500 0.638
4 Zn 0.192 0.500 0.460
5 Ag 0.021 0.500 0.192
6 Ag 0.174 0.000 0.635

Record 4
The following is a calculated X-ray diffraction stick pattern of Ba2Zn3Ag5. It was derived from DFT lattice parameters and positions (PBE), using λ = 1.5418 Å (Cu Kα).
Intensities are scaled so that the largest is 100.

Principal peaks in the range 2θ = 15–90°, sorted by position:
2θ (°)  I/Imax  h k l
30.96  46  1 0 3
31.41  100  1 1 2
38.18  63  2 0 0
42.71  19  1 1 4
45.63  20  1 0 5
49.94  24  2 1 3
55.10  21  2 2 0
57.52  11  1 1 6
60.97  17  2 1 5
64.81  23  3 1 2

Crystal structure
Lattice parameters (Å, degrees): 4.714 4.714 10.963 90.00 90.00 90.00
Space group P-4m2 (No. 115)
One atom of each set of equivalent atoms:
1 Ba 0.000 0.500 0.247
2 Zn 0.000 0.000 0.000
3 Zn 0.000 0.500 0.888
4 Ag 0.000 0.000 0.500
5 Ag 0.000 0.500 0.646
6 Ag 0.500 0.500 0.000
7 Ag 0.500 0.500 0.500

Record 5
The following is a calculated X-ray diffraction stick pattern of Ba2Zn3Ag5. It was derived from DFT lattice parameters and positions (PBE), using λ = 1.5418 Å (Cu Kα).
Intensities are scaled so that the largest is 100.

Principal peaks in the range 2θ = 15–90°, sorted by position:
2θ (°)  I/Imax  h k l
31.16  67  2 0 2
31.35  65  2 4 0
31.59  83  3 2 1
37.24  100  0 4 2
47.23  24  5 2 1
49.48  23  3 2 3
49.73  22  3 6 1
53.44  17  0 0 4
63.61  26  2 8 2
83.99  26  8 4 2

Crystal structure
Lattice parameters (Å, degrees): 10.491 13.604 6.858 90.00 90.00 90.00
Space group Ibam (No. 72)
One atom of each set of equivalent atoms:
1 Ba 0.247 0.127 0.000
2 Zn 0.000 0.000 0.250
3 Zn 0.123 0.379 0.000
4 Ag 0.000 0.260 0.250
5 Ag 0.000 0.500 0.250
6 Ag 0.123 0.120 0.500

Record 6
The following is a calculated X-ray diffraction stick pattern of BaZn3Ag2. It was derived from DFT lattice parameters and positions (PBE), using λ = 1.5418 Å (Cu Kα).
Intensities are scaled so that the largest is 100.

Principal peaks in the range 2θ = 15–90°, sorted by position:
2θ (°)  I/Imax  h k l
30.84  84  2 2 1
31.09  98  3 1 1
32.48  45  1 3 0
33.19  38  4 0 0
35.23  68  2 0 2
37.56  100  0 2 2
41.25  56  2 2 2
43.41  37  3 3 1
45.63  41  2 4 0
53.23  44  5 3 0

Crystal structure
Lattice parameters (Å, degrees): 10.796 8.554 5.779 90.00 90.00 90.00
Space group Cmcm (No. 63)
One atom of each set of equivalent atoms:
1 Ba 0.000 0.175 0.250
2 Zn 0.000 0.418 0.750
3 Zn 0.183 0.223 0.750
4 Ag 0.207 0.500 0.000

Record 7
The following is a calculated X-ray diffraction stick pattern of Ba2ZnAg10. It was derived from DFT lattice parameters and positions (PBE), using λ = 1.5418 Å (Cu Kα).
Intensities are scaled so that the largest is 100.

Principal peaks in the range 2θ = 15–90°, sorted by position:
2θ (°)  I/Imax  h k l
30.42  41  2 1 0
34.05  42  1 -1 4
34.23  45  -1 2 2
34.57  89  2 1 3
36.08  50  2 -1 1
36.72  88  2 0 -3
38.22  57  0 2 -4
39.11  100  0 1 6
39.36  61  1 3 2
39.62  43  1 2 -4

Crystal structure
Lattice parameters (Å, degrees): 6.028 7.138 14.232 83.35 86.16 77.80
Space group P-1 (No. 2)
One atom of each set of equivalent atoms:
1 Ba 0.039 0.428 0.349
2 Ba 0.059 0.251 0.080
3 Zn 0.500 0.500 0.000
4 Zn 0.500 0.500 0.500
5 Ag 0.080 0.054 0.731
6 Ag 0.166 0.888 0.440
7 Ag 0.237 0.739 0.133
8 Ag 0.257 0.287 0.852
9 Ag 0.319 0.169 0.551
10 Ag 0.398 0.904 0.943
11 Ag 0.402 0.781 0.620
12 Ag 0.407 0.016 0.252
13 Ag 0.460 0.628 0.813
14 Ag 0.480 0.636 0.321

Record 8
The following is a calculated X-ray diffraction stick pattern of Ba2Zn12Ag5. It was derived from DFT lattice parameters and positions (PBE), using λ = 1.5418 Å (Cu Kα).
Intensities are scaled so that the largest is 100.

Principal peaks in the range 2θ = 15–90°, sorted by position:
2θ (°)  I/Imax  h k l
32.22  39  3 0 0
33.87  25  0 2 4
37.38  100  2 2 0
37.90  91  3 0 3
38.83  33  2 1 4
39.35  29  2 0 5
39.46  43  0 0 6
42.46  67  2 2 3
67.42  25  6 0 0
70.53  22  3 0 9

Crystal structure
Lattice parameters (Å, degrees): 9.6243 9.6243 13.7045 90.00 90.00 120.00
Space group R-3m (No. 166, hexagonal axes)
One atom of each set of equivalent atoms:
1 Ba 0.0000 0.0000 0.1534
2 Zn 0.0000 0.2858 0.5000
3 Zn 0.0025 0.5013 0.3443
4 Ag 0.0000 0.0000 0.3964
5 Ag 0.0000 0.5000 0.0000

Record 9
The following is a calculated X-ray diffraction stick pattern of BaZnAg5. It was derived from DFT lattice parameters and positions (PBE), using λ = 1.5418 Å (Cu Kα).
Intensities are scaled so that the largest is 100.

Principal peaks in the range 2θ = 15–90°, sorted by position:
2θ (°)  I/Imax  h k l
32.99  34  1 0 4
33.66  27  0 2 2
34.19  100  3 1 1
35.81  21  2 2 0
36.70  23  2 2 1
39.47  35  1 2 3
40.31  29  2 1 4
40.64  25  4 0 1
40.86  22  1 0 5
55.58  20  3 3 1

Crystal structure
Lattice parameters (Å, degrees): 9.053 6.024 11.386 90.00 90.00 90.00
Space group Pnma (No. 62)
One atom of each set of equivalent atoms:
1 Ba 0.238 0.250 0.062
2 Zn 0.156 0.750 0.858
3 Ag 0.060 0.012 0.304
4 Ag 0.079 0.750 0.090
5 Ag 0.103 0.250 0.518
6 Ag 0.183 0.250 0.764

Record 10
The following is a calculated X-ray diffraction stick pattern of Be6Ag. It was derived from DFT lattice parameters and positions (PBE), using λ = 1.5418 Å (Cu Kα).
Intensities are scaled so that the largest is 100.

Principal peaks in the range 2θ = 15–90°, sorted by position:
2θ (°)  I/Imax  h k l
19.33  20  0 0 2
23.19  76  1 0 2
25.51  33  2 0 0
26.54  100  1 1 1
36.27  33  0 1 3
41.41  23  1 0 4
44.87  40  2 1 3
45.60  31  3 1 1
49.33  17  1 2 2
61.13  18  1 2 4

Crystal structure
Lattice parameters (Å, degrees): 6.984 4.216 9.181 90.00 90.00 90.00
Space group Pnma (No. 62)
One atom of each set of equivalent atoms:
1 Be 0.038 0.250 0.102
2 Be 0.058 0.000 0.308
3 Be 0.091 0.750 0.510
4 Be 0.154 0.250 0.856
5 Be 0.191 0.750 0.736
6 Ag 0.237 0.750 0.074

Record 11
The following is a calculated X-ray diffraction stick pattern of Be5Ag3. It was derived from DFT lattice parameters and positions (PBE), using λ = 1.5418 Å (Cu Kα).
Intensities are scaled so that the largest is 100.

Principal peaks in the range 2θ = 15–90°, sorted by position:
2θ (°)  I/Imax  h k l
23.54  69  0 0 3
32.11  100  1 0 1
34.99  24  1 0 2
44.56  43  1 1 0
44.91  80  1 0 4
51.01  33  1 1 3
64.85  13  2 0 0
66.23  17  1 0 7
74.22  16  2 1 1
82.35  26  2 1 4

Crystal structure
Lattice parameters (Å, degrees): 2.875 2.875 11.337 90.00 90.00 90.00
Space group P4/mmm (No. 123)
One atom of each set of equivalent atoms:
1 Be 0.000 0.000 0.000
2 Be 0.000 0.000 0.266
3 Be 0.500 0.500 0.366
4 Ag 0.000 0.000 0.500
5 Ag 0.500 0.500 0.135

Record 12
The following is a calculated X-ray diffraction stick pattern of Be4Ag5. It was derived from DFT lattice parameters and positions (PBE), using λ = 1.5418 Å (Cu Kα).
Intensities are scaled so that the largest is 100.

Principal peaks in the range 2θ = 15–90°, sorted by position:
2θ (°)  I/Imax  h k l
28.29  35  2 0 0
29.74  100  1 1 1
36.70  27  1 0 2
37.72  25  2 1 0
41.51  36  2 1 1
42.09  92  1 1 2
43.01  67  3 0 0
61.75  25  2 2 2
69.28  18  4 0 2
86.69  17  3 0 4

Crystal structure
Lattice parameters (Å, degrees): 7.2852 7.2852 5.3139 90.00 90.00 120.00
Space group P6_3/mcm (No. 193)
One atom of each set of equivalent atoms:
1 Be 0.0000 0.0000 0.0000
2 Be 0.0000 0.3783 0.2500
3 Ag 0.0000 0.2810 0.7500
4 Ag 0.3333 0.6667 0.0000